Record 1
# Cs4K9Rb
Calculated powder diffractogram, λ = 1.5418 Å (Cu Kα). Input: a cell relaxed with PBE.

Structural model:
```
28
Lattice="-7.648 7.648 11.087 7.648 -7.648 11.087 7.648 7.648 -11.087" Properties=species:S:1:pos:R:3 pbc="T T T"
Cs 10.560 2.912 -2.926
Cs 2.912 4.735 -2.926
Cs 10.560 2.912 2.926
Cs 2.912 4.735 2.926
Cs 4.735 2.912 8.161
Cs -2.912 4.735 8.161
Cs 4.735 2.912 14.013
Cs -2.912 4.735 14.013
K 7.648 0.000 0.000
K 3.109 0.828 0.000
K 9.255 -1.607 3.842
K 6.819 -4.538 11.087
K 6.041 -1.607 7.245
K 6.041 1.607 3.842
K 6.819 4.538 0.000
K 9.255 1.607 7.245
K 3.109 -0.828 11.087
K 0.000 7.648 0.000
K 4.538 8.476 0.000
K -1.607 6.041 3.842
K 0.828 3.109 11.087
K 1.607 6.041 7.245
K 1.607 9.255 3.842
K 0.828 12.186 0.000
K -1.607 9.255 7.245
K 4.538 6.819 11.087
Rb 0.000 0.000 5.544
Rb 0.000 0.000 16.631
```

Main lines, by angle (10 to 90 degrees two-theta):
d = 5.020 Å, 2θ = 17.7°, rel. 34
d = 4.847 Å, 2θ = 18.3°, rel. 34
d = 4.488 Å, 2θ = 19.8°, rel. 80
d = 3.721 Å, 2θ = 23.9°, rel. 34
d = 3.679 Å, 2θ = 24.2°, rel. 50
d = 3.657 Å, 2θ = 24.3°, rel. 100
d = 3.316 Å, 2θ = 26.9°, rel. 36
d = 2.409 Å, 2θ = 37.3°, rel. 41

***

Record 2
# Nd5Sn4
Calculated powder diffractogram, λ = 1.5418 Å (Cu Kα). Input: a cell relaxed with PBE.

Structural model:
```
9
Lattice="5.866 -2.365 0.000 5.866 2.365 0.000 -4.320 0.000 10.012" Properties=species:S:1:pos:R:3 pbc="T T T"
Nd 0.000 0.000 0.000
Nd -0.597 0.000 3.893
Nd -0.677 0.000 8.361
Nd 8.090 0.000 1.650
Nd 8.010 0.000 6.119
Sn 2.595 0.000 3.903
Sn 4.589 0.000 1.639
Sn 2.824 0.000 8.373
Sn 4.817 0.000 6.109
```

Main lines, by angle (10 to 90 degrees two-theta):
d = 3.044 Å, 2θ = 29.3°, rel. 100
d = 3.013 Å, 2θ = 29.7°, rel. 63
d = 2.907 Å, 2θ = 30.8°, rel. 39
d = 2.874 Å, 2θ = 31.1°, rel. 69
d = 2.618 Å, 2θ = 34.3°, rel. 61
d = 2.546 Å, 2θ = 35.2°, rel. 54
d = 2.365 Å, 2θ = 38.0°, rel. 59
d = 1.834 Å, 2θ = 49.7°, rel. 28